CaNd5Sm2: simulated powder diffraction line list (Cu Kα, 1.54184 Å), based on a cell relaxed with PBE.

Structure:
```
data_CaNd5Sm2
_chemical_formula_sum 'Ca4 Nd20 Sm8'
_space_group_name_H-M_alt 'C 1 2/c 1'
_space_group_IT_number 15
_cell_length_a 13.2399
_cell_length_b 16.1817
_cell_length_c 6.1372
_cell_angle_alpha 90.00
_cell_angle_beta 117.54
_cell_angle_gamma 90.00
loop_
_space_group_symop_operation_xyz
'x,y,z'
'-x,-y,-z'
'-x,y,-z+1/2'
'x,-y,z+1/2'
'x+1/2,y+1/2,z'
'-x+1/2,-y+1/2,-z'
'-x+1/2,y+1/2,-z+1/2'
'x+1/2,-y+1/2,z+1/2'
loop_
_atom_site_label
_atom_site_type_symbol
_atom_site_fract_x
_atom_site_fract_y
_atom_site_fract_z
_atom_site_occupancy
Ca1 Ca 0.0000 0.1534 0.2500 1
Nd1 Nd 0.0000 0.2979 0.7500 1
Nd2 Nd 0.1683 0.0542 0.9192 1
Nd3 Nd 0.1870 0.3561 0.4367 1
Sm1 Sm 0.0000 0.5000 0.0000 1
Sm2 Sm 0.2500 0.2500 0.0000 1
```

Peak list (6 most intense, 10 to 80 degrees two-theta, in order of rising 2θ)
d [Å], 2theta, I (rel.)
3.167, 28.17, 39
3.069, 29.10, 47
3.055, 29.23, 100
2.863, 31.24, 89
2.574, 34.86, 47
1.670, 54.99, 36

=====

Ca2Nd6Sm5: simulated powder diffraction line list (Cu Kα, 1.54184 Å), based on a cell relaxed with PBE.

Structure:
```
data_Ca2Nd6Sm5
_chemical_formula_sum 'Ca4 Nd12 Sm10'
_space_group_name_H-M_alt 'P b a m'
_space_group_IT_number 55
_cell_length_a 12.2377
_cell_length_b 20.9072
_cell_length_c 3.6290
_cell_angle_alpha 90.00
_cell_angle_beta 90.00
_cell_angle_gamma 90.00
loop_
_space_group_symop_operation_xyz
'x,y,z'
'-x,-y,-z'
'-x,-y,z'
'x,y,-z'
'x+1/2,-y+1/2,-z'
'-x+1/2,y+1/2,z'
'-x+1/2,y+1/2,-z'
'x+1/2,-y+1/2,z'
loop_
_atom_site_label
_atom_site_type_symbol
_atom_site_fract_x
_atom_site_fract_y
_atom_site_fract_z
_atom_site_occupancy
Ca1 Ca 0.1646 0.2155 0.0000 1
Nd1 Nd 0.0505 0.9229 0.0000 1
Nd2 Nd 0.0703 0.6382 0.0000 1
Nd3 Nd 0.1874 0.3795 0.5000 1
Sm1 Sm 0.0000 0.5000 0.5000 1
Sm2 Sm 0.0953 0.7805 0.5000 1
Sm3 Sm 0.2088 0.0514 0.5000 1
```

Peak list (6 most intense, 10 to 80 degrees two-theta, in order of rising 2θ)
d [Å], 2theta, I (rel.)
3.117, 28.64, 46
3.027, 29.51, 53
2.900, 30.84, 100
2.849, 31.40, 81
2.679, 33.44, 43
2.649, 33.83, 34

=====

CaNd2SmY4: simulated powder diffraction line list (Cu Kα, 1.54184 Å), based on a cell relaxed with PBE.

Structure:
```
data_CaNd2SmY4
_chemical_formula_sum 'Ca4 Nd8 Sm4 Y16'
_space_group_name_H-M_alt 'C 1 2/c 1'
_space_group_IT_number 15
_cell_length_a 13.9098
_cell_length_b 13.4900
_cell_length_c 6.9054
_cell_angle_alpha 90.00
_cell_angle_beta 119.73
_cell_angle_gamma 90.00
loop_
_space_group_symop_operation_xyz
'x,y,z'
'-x,-y,-z'
'-x,y,-z+1/2'
'x,-y,z+1/2'
'x+1/2,y+1/2,z'
'-x+1/2,-y+1/2,-z'
'-x+1/2,y+1/2,-z+1/2'
'x+1/2,-y+1/2,z+1/2'
loop_
_atom_site_label
_atom_site_type_symbol
_atom_site_fract_x
_atom_site_fract_y
_atom_site_fract_z
_atom_site_occupancy
Ca1 Ca 0.0000 0.0000 0.0000 1
Nd1 Nd 0.0000 0.5000 0.0000 1
Nd2 Nd 0.2500 0.2500 0.0000 1
Sm1 Sm 0.2500 0.2500 0.5000 1
Y1 Y 0.0000 0.2504 0.0005 1
Y2 Y 0.2381 0.4996 0.4867 1
```

Peak list (6 most intense, 10 to 80 degrees two-theta, in order of rising 2θ)
d [Å], 2theta, I (rel.)
3.373, 26.43, 68
3.020, 29.58, 50
2.997, 29.81, 100
2.250, 40.08, 44
2.240, 40.25, 87
1.546, 59.84, 26

=====

What did the third record say?
CaNd2SmY4: simulated powder diffraction line list (Cu Kα, 1.54184 Å), based on a cell relaxed with PBE.

Structure:
```
data_CaNd2SmY4
_chemical_formula_sum 'Ca4 Nd8 Sm4 Y16'
_space_group_name_H-M_alt 'C 1 2/c 1'
_space_group_IT_number 15
_cell_length_a 13.9098
_cell_length_b 13.4900
_cell_length_c 6.9054
_cell_angle_alpha 90.00
_cell_angle_beta 119.73
_cell_angle_gamma 90.00
loop_
_space_group_symop_operation_xyz
'x,y,z'
'-x,-y,-z'
'-x,y,-z+1/2'
'x,-y,z+1/2'
'x+1/2,y+1/2,z'
'-x+1/2,-y+1/2,-z'
'-x+1/2,y+1/2,-z+1/2'
'x+1/2,-y+1/2,z+1/2'
loop_
_atom_site_label
_atom_site_type_symbol
_atom_site_fract_x
_atom_site_fract_y
_atom_site_fract_z
_atom_site_occupancy
Ca1 Ca 0.0000 0.0000 0.0000 1
Nd1 Nd 0.0000 0.5000 0.0000 1
Nd2 Nd 0.2500 0.2500 0.0000 1
Sm1 Sm 0.2500 0.2500 0.5000 1
Y1 Y 0.0000 0.2504 0.0005 1
Y2 Y 0.2381 0.4996 0.4867 1
```

Peak list (6 most intense, 10 to 80 degrees two-theta, in order of rising 2θ)
d [Å], 2theta, I (rel.)
3.373, 26.43, 68
3.020, 29.58, 50
2.997, 29.81, 100
2.250, 40.08, 44
2.240, 40.25, 87
1.546, 59.84, 26